The following is a computed powder XRD pattern of CaVFeP4O14. It was derived from a cell relaxed with PBE+U, using Cu Ka.
Intensities are scaled so that the largest is 100.

Main lines, low angle first (2θ = 15–90°):
| Position (°2θ) | I/Imax |
| --- | --- |
| 16.81 | 100 |
| 21.34 | 23 |
| 21.42 | 35 |
| 22.15 | 56 |
| 25.01 | 36 |
| 27.78 | 44 |
| 28.32 | 13 |
| 28.94 | 76 |
| 29.58 | 32 |
| 33.98 | 17 |
| 38.07 | 16 |
| 42.84 | 12 |

Crystal structure
```
data_CaVFeP4O14
_cell_length_a 4.9947
_cell_length_b 7.0938
_cell_length_c 8.3532
_cell_angle_alpha 89.99
_cell_angle_beta 89.77
_cell_angle_gamma 73.57
_space_group_name_H-M_alt 'P 1'
_space_group_IT_number 1
loop_
_space_group_symop_operation_xyz
'x,y,z'
loop_
_atom_site_label
_atom_site_fract_x
_atom_site_fract_y
_atom_site_fract_z
Ca1 0.0000 0.0000 0.0000
V1 0.1117 0.5489 0.1221
Fe1 0.5288 0.1111 0.6062
P1 0.0805 0.9420 0.3863
P2 0.5701 0.7293 0.8791
P3 0.6981 0.3398 0.3065
P4 0.9418 0.3450 0.7909
O1 0.0427 0.3344 0.9668
O2 0.1581 0.7801 0.2597
O3 0.1737 0.3134 0.6694
O4 0.3165 0.6775 0.9486
O5 0.3341 0.0006 0.4419
O6 0.4653 0.9233 0.7891
O7 0.4703 0.3607 0.1793
O8 0.5996 0.3293 0.4766
O9 0.7350 0.5623 0.7574
O10 0.7702 0.1943 0.7839
O11 0.7780 0.7496 0.0110
O12 0.8722 0.4840 0.2862
O13 0.8825 0.9230 0.5196
O14 0.9062 0.1219 0.2631
```